[1]
Theoretical powder diffraction line list of Dy5In3 for Cu Kα (weighted mean of Kα1 and Kα2), from a GGA-PBE-relaxed structure.

Main lines, by angle (5 to 70 degrees two-theta):
2θ/deg, Rel. int.
29.82, 21
30.15, 63
32.57, 67
33.26, 47
33.57, 100
36.42, 38
53.13, 20
55.35, 24

Crystal structure
```
Dy5In3
1.0
-6.147 6.147 2.997
6.147 -6.147 2.997
6.147 6.147 -2.997
Dy In
10 6
direct
0.083 0.781 0.864
0.219 0.083 0.303
0.250 0.750 0.500
0.281 0.583 0.864
0.417 0.281 0.697
0.583 0.719 0.303
0.719 0.417 0.136
0.750 0.250 0.500
0.781 0.917 0.697
0.917 0.219 0.136
0.161 0.339 0.500
0.250 0.250 0.000
0.339 0.839 0.177
0.661 0.161 0.823
0.750 0.750 0.000
0.839 0.661 0.500
```

***

[2]
Theoretical powder diffraction line list of K4IrO4 for Cu Kα (weighted mean of Kα1 and Kα2), from a GGA-PBE-relaxed structure.

Main lines, by angle (5 to 70 degrees two-theta):
2θ/deg, Rel. int.
14.71, 91
17.02, 100
20.62, 44
21.13, 56
27.84, 47
31.77, 84
32.65, 95
39.92, 78

Crystal structure
```
K4IrO4
1.0
4.661 -3.205 0.000
4.661 3.205 0.000
-1.781 0.000 6.022
K Ir O
4 1 4
direct
0.122 0.122 0.366
0.306 0.306 0.917
0.694 0.694 0.083
0.878 0.878 0.634
0.500 0.500 0.500
0.176 0.603 0.301
0.397 0.824 0.699
0.603 0.176 0.301
0.824 0.397 0.699
```